Diffraction record for Tl5Sn. The PXRD pattern is theoretical, not measured: it uses a crystal structure in Alexandria, relaxed with PBE and Cu Kα X-rays.

Cell and atoms:
abc: 7.5099 7.5099 13.7807
angles: 90.00 90.00 90.00
Space group I4/mcm (No. 140)
Asymmetric unit:
Tl1 0.0000 0.0000 0.0000
Tl2 0.1540 0.3460 0.1355
Sn1 0.0000 0.0000 0.2500

Peak list (10 most intense, 2θ from 10° to 90°, sorted by position)
d/Å, intensity
3.445, 17.7
3.263, 100.0
2.890, 72.3
2.711, 98.2
2.539, 55.8
2.375, 75.7
1.698, 32.4
1.649, 40.3
1.574, 41.3
1.394, 25.5